Entry 1:
Starting from a structure optimized by DFT (GGA+U), the PXRD pattern of NiCO4 was calculated for Cu Kα (λ = 1.5418 Å).

Principal peaks in the range 10 to 90 degrees two-theta, sorted by position:
2theta	d (Å)	intensity	hkl
13.72	6.455	23	0 1 1
19.68	4.512	57	0 2 0
21.61	4.112	100	0 1 2
31.28	2.860	68	0 3 1
31.95	2.801	34	1 1 1
33.87	2.647	53	1 0 -2
35.08	2.558	26	1 0 2
35.62	2.521	30	0 3 2
49.11	1.855	21	1 1 -4
50.94	1.793	22	1 1 4

Atomic structure:
```
data_NiCO4
_chemical_formula_sum 'Ni4 C4 O16'
_cell_length_a 3.1500
_cell_length_b 9.0243
_cell_length_c 9.2439
_cell_angle_alpha 90.00
_cell_angle_beta 92.11
_cell_angle_gamma 90.00
_space_group_name_H-M_alt 'P 1 21/c 1'
_space_group_IT_number 14
loop_
_space_group_symop_operation_xyz
'x,y,z'
'-x,-y,-z'
'-x,y+1/2,-z+1/2'
'x,-y+1/2,z+1/2'
loop_
_atom_site_label
_atom_site_type_symbol
_atom_site_fract_x
_atom_site_fract_y
_atom_site_fract_z
_atom_site_occupancy
Ni1 Ni 0.2299 0.2082 0.1030 1
C1 C 0.2646 0.6210 0.6689 1
O1 O 0.1356 0.0479 0.4892 1
O2 O 0.2554 0.0132 0.2031 1
O3 O 0.2597 0.7235 0.7700 1
O4 O 0.2787 0.6659 0.5339 1
```

---

Entry 2:
Starting from a structure optimized by DFT (GGA+U), the PXRD pattern of LiV3O5F3 was calculated for Cu Kα (λ = 1.5418 Å).

Principal peaks in the range 10 to 90 degrees two-theta, sorted by position:
2theta	d (Å)	intensity	hkl
13.91	6.365	100	1 0 -1
22.45	3.960	16	0 0 3
27.28	3.269	81	1 1 0
27.61	3.231	17	2 0 0
29.89	2.989	28	1 0 -4
40.09	2.249	23	2 0 3
41.31	2.185	24	2 0 -5
48.01	1.895	26	0 2 0
58.85	1.569	12	3 1 3
65.16	1.432	10	2 2 -5

Atomic structure:
```
data_LiV3O5F3
_chemical_formula_sum 'Li2 V6 O10 F6'
_cell_length_a 6.6631
_cell_length_b 3.7901
_cell_length_c 12.2497
_cell_angle_alpha 90.00
_cell_angle_beta 104.12
_cell_angle_gamma 90.00
_space_group_name_H-M_alt 'P 1 m 1'
_space_group_IT_number 6
loop_
_space_group_symop_operation_xyz
'x,y,z'
'x,-y,z'
loop_
_atom_site_label
_atom_site_type_symbol
_atom_site_fract_x
_atom_site_fract_y
_atom_site_fract_z
_atom_site_occupancy
Li1 Li 0.0000 0.0000 0.0000 1
Li2 Li 0.3769 0.5000 0.3868 1
V1 V 0.0809 0.5000 0.7717 1
V2 V 0.3265 0.0000 0.6284 1
V3 V 0.4352 0.0000 0.8757 1
V4 V 0.5073 0.0000 0.1496 1
V5 V 0.8748 0.5000 0.2264 1
V6 V 0.9260 0.5000 0.4865 1
O1 O 0.0551 0.5000 0.3578 1
O2 O 0.1605 0.0000 0.7525 1
O3 O 0.2296 0.5000 0.6072 1
O4 O 0.3347 0.0000 0.0140 1
O5 O 0.3851 0.5000 0.8607 1
O6 O 0.5425 0.0000 0.7376 1
O7 O 0.5754 0.5000 0.1700 1
O8 O 0.6856 0.5000 0.4092 1
O9 O 0.8051 0.0000 0.2067 1
O10 O 0.9667 0.5000 0.8766 1
F1 F 0.0160 0.5000 0.1119 1
F2 F 0.3640 0.0000 0.2621 1
F3 F 0.4003 0.0000 0.4895 1
F4 F 0.6984 0.0000 0.9734 1
F5 F 0.8490 0.5000 0.6357 1
F6 F 0.9879 0.0000 0.5123 1
```

---

Entry 3:
Starting from a structure optimized by DFT (GGA+U), the PXRD pattern of Cs2CoS2O14 was calculated for Cu Kα (λ = 1.5418 Å).

Principal peaks in the range 10 to 90 degrees two-theta, sorted by position:
2theta	d (Å)	intensity	hkl
19.43	4.569	25	1 2 0
20.21	4.394	86	1 1 1
20.89	4.252	96	1 0 -2
22.61	3.932	100	0 3 1
25.22	3.532	24	1 3 -1
27.93	3.194	57	2 1 -1
27.99	3.188	33	1 3 1
30.36	2.944	29	1 2 2
35.90	2.501	32	1 3 -3
38.75	2.324	19	1 4 2

Atomic structure:
```
data_Cs2CoS2O14
_chemical_formula_sum 'Cs4 Co2 S4 O28'
_cell_length_a 6.6073
_cell_length_b 13.1005
_cell_length_c 9.3691
_cell_angle_alpha 90.00
_cell_angle_beta 105.23
_cell_angle_gamma 90.00
_space_group_name_H-M_alt 'P 1 21/c 1'
_space_group_IT_number 14
loop_
_space_group_symop_operation_xyz
'x,y,z'
'-x,-y,-z'
'-x,y+1/2,-z+1/2'
'x,-y+1/2,z+1/2'
loop_
_atom_site_label
_atom_site_type_symbol
_atom_site_fract_x
_atom_site_fract_y
_atom_site_fract_z
_atom_site_occupancy
Cs1 Cs 0.1548 0.1550 0.3598 1
Co1 Co 0.5000 0.0000 0.0000 1
S1 S 0.2422 0.6435 0.9051 1
O1 O 0.1036 0.7302 0.9144 1
O2 O 0.1435 0.5802 0.7698 1
O3 O 0.2420 0.5381 0.5014 1
O4 O 0.2894 0.5801 0.0389 1
O5 O 0.3413 0.0878 0.8749 1
O6 O 0.4330 0.0906 0.1211 1
O7 O 0.4371 0.6793 0.8667 1
```

---

Entry 4:
Starting from a structure optimized by DFT (GGA+U), the PXRD pattern of NiTeO4 was calculated for Cu Kα (λ = 1.5418 Å).

Principal peaks in the range 10 to 90 degrees two-theta, sorted by position:
2theta	d (Å)	intensity	hkl
17.59	5.043	11	0 0 1
18.41	4.818	100	1 0 0
34.00	2.637	49	1 0 -2
35.76	2.511	13	1 1 -1
41.87	2.157	33	1 1 1
42.11	2.146	16	2 0 -2
46.27	1.962	11	2 1 -1
56.11	1.639	11	2 1 1
59.72	1.548	16	0 2 0
62.05	1.496	8	3 1 -1

Atomic structure:
```
data_NiTeO4
_chemical_formula_sum 'Ni1 Te1 O4'
_cell_length_a 5.1264
_cell_length_b 3.0959
_cell_length_c 5.3653
_cell_angle_alpha 90.00
_cell_angle_beta 109.97
_cell_angle_gamma 90.00
_space_group_name_H-M_alt 'P 1 2/m 1'
_space_group_IT_number 10
loop_
_space_group_symop_operation_xyz
'x,y,z'
'-x,-y,-z'
'-x,y,-z'
'x,-y,z'
loop_
_atom_site_label
_atom_site_type_symbol
_atom_site_fract_x
_atom_site_fract_y
_atom_site_fract_z
_atom_site_occupancy
Ni1 Ni 0.0000 0.0000 0.0000 1
Te1 Te 0.0000 0.5000 0.5000 1
O1 O 0.1896 0.5000 0.2518 1
O2 O 0.2242 0.0000 0.7165 1
```